# 1
# CeMg14Ga
Theoretical powder diffractogram, Cu Ka. Input: a GGA-PBE-relaxed structure.
Lines closer than 0.1° are merged.

The 10 most intense peaks (2θ from 15° to 90°), in order of rising 2θ:
2θ = 16.06°, I = 41, (1 0 0)
2θ = 23.84°, I = 32, (1 0 2)
2θ = 32.45°, I = 29, (2 0 0)
2θ = 33.21°, I = 14, (1 1 2)
2θ = 35.42°, I = 24, (0 0 4)
2θ = 37.10°, I = 100, (2 0 2)
2θ = 48.79°, I = 18, (2 0 4)
2θ = 57.88°, I = 17, (2 2 0)
2θ = 64.69°, I = 18, (2 0 6)
2θ = 69.72°, I = 19, (2 2 4)

Cell and atoms:
```
data_CeMg14Ga
_chemical_formula_sum 'Ce1 Mg14 Ga1'
_cell_length_a 6.3723
_cell_length_b 6.3723
_cell_length_c 10.1374
_cell_angle_alpha 90.00
_cell_angle_beta 90.00
_cell_angle_gamma 120.00
_symmetry_space_group_name_H-M 'P -6 m 2'
_symmetry_Int_Tables_number 187
_symmetry_space_group_name_Hall 'P -6 2'
loop_
_atom_site_label
_atom_site_type_symbol
_atom_site_fract_x
_atom_site_fract_y
_atom_site_fract_z
Ce1 Ce 0.0000 0.0000 0.0000
Mg1 Mg 0.0148 0.5074 0.0000
Mg2 Mg 0.1660 0.3321 0.2600
Mg3 Mg 0.5033 0.0065 0.5000
Mg4 Mg 0.6667 0.3333 0.2369
Ga1 Ga 0.0000 0.0000 0.5000
```

# 2
# NaCeGa4S8
Theoretical powder diffractogram, Cu Ka. Input: a GGA-PBE-relaxed structure.
Lines closer than 0.1° are merged.

The 10 most intense peaks (2θ from 15° to 90°), in order of rising 2θ:
2θ = 16.66°, I = 33, (2 0 2)
2θ = 16.90°, I = 36, (0 0 4)
2θ = 23.85°, I = 100, (2 2 4)
2θ = 24.14°, I = 25, (0 4 4)
2θ = 29.63°, I = 49, (2 6 0)
2θ = 30.87°, I = 26, (2 6 2)
2θ = 34.18°, I = 45, (0 0 8)
2θ = 37.99°, I = 95, (4 4 4)
2θ = 45.85°, I = 29, (2 6 8)
2θ = 52.29°, I = 20, (0 0 12)

Cell and atoms:
```
data_NaCeGa4S8
_chemical_formula_sum 'Na16 Ce16 Ga64 S128'
_cell_length_a 12.3617
_cell_length_b 20.7228
_cell_length_c 20.9858
_cell_angle_alpha 90.00
_cell_angle_beta 90.00
_cell_angle_gamma 90.00
_symmetry_space_group_name_H-M 'F d d d'
_symmetry_Int_Tables_number 70
loop_
_symmetry_equiv_pos_as_xyz
'x,y,z'
'-x,-y,-z'
'-x+1/4,-y+1/4,z'
'x+1/4,y+1/4,-z'
'x,-y+1/4,-z+1/4'
'-x,y+1/4,z+1/4'
'-x+1/4,y,-z+1/4'
'x+1/4,-y,z+1/4'
'x,y+1/2,z+1/2'
'-x,-y+1/2,-z+1/2'
'-x+1/4,-y+3/4,z+1/2'
'x+1/4,y+3/4,-z+1/2'
'x,-y+3/4,-z+3/4'
'-x,y+3/4,z+3/4'
'-x+1/4,y+1/2,-z+3/4'
'x+1/4,-y+1/2,z+3/4'
'x+1/2,y,z+1/2'
'-x+1/2,-y,-z+1/2'
'-x+3/4,-y+1/4,z+1/2'
'x+3/4,y+1/4,-z+1/2'
'x+1/2,-y+1/4,-z+3/4'
'-x+1/2,y+1/4,z+3/4'
'-x+3/4,y,-z+3/4'
'x+3/4,-y,z+3/4'
'x+1/2,y+1/2,z'
'-x+1/2,-y+1/2,-z'
'-x+3/4,-y+3/4,z'
'x+3/4,y+3/4,-z'
'x+1/2,-y+3/4,-z+1/4'
'-x+1/2,y+3/4,z+1/4'
'-x+3/4,y+1/2,-z+1/4'
'x+3/4,-y+1/2,z+1/4'
loop_
_atom_site_label
_atom_site_type_symbol
_atom_site_fract_x
_atom_site_fract_y
_atom_site_fract_z
Na1 Na 0.1250 0.1250 0.3710
Ce1 Ce 0.1250 0.1250 0.1250
Ce2 Ce 0.1250 0.1250 0.6250
Ga1 Ga 0.0849 0.3050 0.2504
Ga2 Ga 0.1252 0.2609 0.4960
S1 S 0.0022 0.3438 0.4954
S2 S 0.0040 0.0025 0.0832
S3 S 0.0078 0.0029 0.5828
S4 S 0.0154 0.0807 0.7504
```

# 3
# NaCeGa4Se8
Theoretical powder diffractogram, Cu Ka. Input: a GGA-PBE-relaxed structure.
Lines closer than 0.1° are merged.

The 10 most intense peaks (2θ from 15° to 90°), in order of rising 2θ:
2θ = 16.50°, I = 35, (0 0 4)
2θ = 23.09°, I = 46, (2 2 4)
2θ = 28.59°, I = 23, (2 6 0)
2θ = 29.71°, I = 65, (2 2 6)
2θ = 29.80°, I = 66, (2 6 2)
2θ = 33.33°, I = 30, (0 0 8)
2θ = 36.57°, I = 100, (4 4 4)
2θ = 50.20°, I = 27, (6 2 6)
2θ = 50.26°, I = 20, (6 6 2)
2θ = 51.72°, I = 30, (2 10 6)

Cell and atoms:
```
data_NaCeGa4Se8
_chemical_formula_sum 'Na16 Ce16 Ga64 Se128'
_cell_length_a 12.9033
_cell_length_b 21.4088
_cell_length_c 21.5075
_cell_angle_alpha 90.00
_cell_angle_beta 90.00
_cell_angle_gamma 90.00
_symmetry_space_group_name_H-M 'F d d d'
_symmetry_Int_Tables_number 70
loop_
_symmetry_equiv_pos_as_xyz
'x,y,z'
'-x,-y,-z'
'-x+1/4,-y+1/4,z'
'x+1/4,y+1/4,-z'
'x,-y+1/4,-z+1/4'
'-x,y+1/4,z+1/4'
'-x+1/4,y,-z+1/4'
'x+1/4,-y,z+1/4'
'x,y+1/2,z+1/2'
'-x,-y+1/2,-z+1/2'
'-x+1/4,-y+3/4,z+1/2'
'x+1/4,y+3/4,-z+1/2'
'x,-y+3/4,-z+3/4'
'-x,y+3/4,z+3/4'
'-x+1/4,y+1/2,-z+3/4'
'x+1/4,-y+1/2,z+3/4'
'x+1/2,y,z+1/2'
'-x+1/2,-y,-z+1/2'
'-x+3/4,-y+1/4,z+1/2'
'x+3/4,y+1/4,-z+1/2'
'x+1/2,-y+1/4,-z+3/4'
'-x+1/2,y+1/4,z+3/4'
'-x+3/4,y,-z+3/4'
'x+3/4,-y,z+3/4'
'x+1/2,y+1/2,z'
'-x+1/2,-y+1/2,-z'
'-x+3/4,-y+3/4,z'
'x+3/4,y+3/4,-z'
'x+1/2,-y+3/4,-z+1/4'
'-x+1/2,y+3/4,z+1/4'
'-x+3/4,y+1/2,-z+1/4'
'x+3/4,-y+1/2,z+1/4'
loop_
_atom_site_label
_atom_site_type_symbol
_atom_site_fract_x
_atom_site_fract_y
_atom_site_fract_z
Na1 Na 0.1250 0.1250 0.3720
Ce1 Ce 0.1250 0.1250 0.1250
Ce2 Ce 0.1250 0.1250 0.6250
Ga1 Ga 0.0839 0.3050 0.2505
Ga2 Ga 0.1239 0.2600 0.7523
Se1 Se 0.0023 0.0016 0.0868
Se2 Se 0.0021 0.0925 0.2479
Se3 Se 0.0053 0.0020 0.5864
Se4 Se 0.0159 0.0839 0.7509
```

# 4
# CeGaNi4
Theoretical powder diffractogram, Cu Ka. Input: a GGA-PBE-relaxed structure.
Lines closer than 0.1° are merged.

The 10 most intense peaks (2θ from 15° to 90°), in order of rising 2θ:
2θ = 30.67°, I = 38, (1 0 1)
2θ = 35.27°, I = 33, (1 1 0)
2θ = 40.95°, I = 33, (2 0 0)
2θ = 42.46°, I = 100, (1 1 1)
2θ = 46.76°, I = 24, (0 0 2)
2θ = 59.90°, I = 14, (1 1 2)
2θ = 63.87°, I = 17, (2 0 2)
2θ = 68.24°, I = 23, (3 0 1)
2θ = 74.58°, I = 17, (2 2 0)
2θ = 83.80°, I = 13, (1 1 3)

Cell and atoms:
```
data_CeGaNi4
_chemical_formula_sum 'Ce1 Ga1 Ni4'
_cell_length_a 5.0898
_cell_length_b 5.0898
_cell_length_c 3.8858
_cell_angle_alpha 90.00
_cell_angle_beta 90.00
_cell_angle_gamma 120.00
_symmetry_space_group_name_H-M 'P -6 m 2'
_symmetry_Int_Tables_number 187
_symmetry_space_group_name_Hall 'P -6 2'
loop_
_atom_site_label
_atom_site_type_symbol
_atom_site_fract_x
_atom_site_fract_y
_atom_site_fract_z
Ce1 Ce 0.0000 0.0000 0.0000
Ga1 Ga 0.6667 0.3333 0.0000
Ni1 Ni 0.0054 0.5027 0.5000
Ni2 Ni 0.3333 0.6667 0.0000
```

# 5
# CeGa2Ni2
Theoretical powder diffractogram, Cu Ka. Input: a GGA-PBE-relaxed structure.
Lines closer than 0.1° are merged.

The 10 most intense peaks (2θ from 15° to 90°), in order of rising 2θ:
2θ = 30.85°, I = 25, (1 1 0)
2θ = 34.48°, I = 96, (1 0 3)
2θ = 35.72°, I = 100, (1 1 2)
2θ = 44.19°, I = 67, (2 0 0)
2θ = 50.38°, I = 29, (1 0 5)
2θ = 57.23°, I = 44, (2 1 3)
2θ = 63.98°, I = 20, (1 1 6)
2θ = 64.28°, I = 21, (2 2 0)
2θ = 69.22°, I = 22, (2 1 5)
2θ = 75.76°, I = 23, (3 1 2)

Cell and atoms:
```
data_CeGa2Ni2
_chemical_formula_sum 'Ce2 Ga4 Ni4'
_cell_length_a 4.0989
_cell_length_b 4.0989
_cell_length_c 10.0962
_cell_angle_alpha 90.00
_cell_angle_beta 90.00
_cell_angle_gamma 90.00
_symmetry_space_group_name_H-M 'I 4/m m m'
_symmetry_Int_Tables_number 139
_symmetry_space_group_name_Hall '-I 4 2'
loop_
_atom_site_label
_atom_site_type_symbol
_atom_site_fract_x
_atom_site_fract_y
_atom_site_fract_z
Ce1 Ce 0.0000 0.0000 0.0000
Ga1 Ga 0.0000 0.0000 0.3727
Ni1 Ni 0.0000 0.5000 0.2500
```

# 6
# CeGaNi4
Theoretical powder diffractogram, Cu Ka. Input: a GGA-PBE-relaxed structure.
Lines closer than 0.1° are merged.

The 10 most intense peaks (2θ from 15° to 90°), in order of rising 2θ:
2θ = 30.17°, I = 52, (1 1 1)
2θ = 30.71°, I = 17, (0 2 1)
2θ = 36.94°, I = 26, (1 3 0)
2θ = 41.84°, I = 35, (2 2 0)
2θ = 42.12°, I = 49, (2 0 1)
2θ = 43.32°, I = 100, (1 3 1)
2θ = 43.45°, I = 18, (0 4 0)
2θ = 44.51°, I = 44, (0 0 2)
2θ = 62.74°, I = 20, (2 2 2)
2θ = 69.23°, I = 24, (3 3 1)

Cell and atoms:
```
data_CeGaNi4
_chemical_formula_sum 'Ce2 Ga2 Ni8'
_cell_length_a 5.0494
_cell_length_b 8.3317
_cell_length_c 4.0707
_cell_angle_alpha 90.00
_cell_angle_beta 90.00
_cell_angle_gamma 90.00
_symmetry_space_group_name_H-M 'C m m m'
_symmetry_Int_Tables_number 65
_symmetry_space_group_name_Hall '-C 2 2'
loop_
_atom_site_label
_atom_site_type_symbol
_atom_site_fract_x
_atom_site_fract_y
_atom_site_fract_z
Ce1 Ce 0.0000 0.0000 0.0000
Ga1 Ga 0.0000 0.5000 0.5000
Ni1 Ni 0.0000 0.3293 0.0000
Ni2 Ni 0.2500 0.2500 0.5000
```